[1]
For Li4V3Fe3W2O16, the PBE+U geometry in the Materials Project gives the computed X-ray diffraction stick pattern in this record (Cu Kα).
Intensities are scaled so that the largest is 100.

```
Li4V3Fe3W2O16
1.0
6.0020 0.0000 0.0000
-2.9901 5.2574 0.0000
-0.0249 -0.0269 9.7888
Li V Fe W O
4 3 3 2 16
Direct
0.0000 0.0000 0.0000
0.0079 0.0009 0.5021
0.3346 0.6626 0.4135
0.6677 0.3271 0.9168
0.1858 0.3479 0.7295
0.3425 0.1661 0.2258
0.8302 0.1690 0.2261
0.1719 0.8364 0.7205
0.6685 0.8348 0.7214
0.8294 0.6538 0.2282
0.3333 0.6661 0.9977
0.6770 0.3414 0.5005
0.0155 0.0305 0.8132
0.0428 0.5046 0.8667
0.1656 0.8171 0.1021
0.1736 0.3393 0.1053
0.3199 0.6374 0.6243
0.3417 0.1900 0.6041
0.4678 0.5012 0.8663
0.4810 0.9515 0.8767
0.5182 0.0370 0.3528
0.5241 0.4774 0.3562
0.6539 0.8152 0.1035
0.6683 0.3332 0.1199
0.8344 0.6715 0.5952
0.8454 0.1912 0.5994
0.9676 0.4815 0.3515
0.9992 0.9945 0.3116
```

Top 6 peaks for 2θ = 10–90°, in order of rising 2θ:
index, 2theta, d/Å, intensity
0 1 1, 19.16, 4.631, 45
1 -1 1, 19.29, 4.601, 100
0 1 -3, 32.29, 2.772, 26
1 0 3, 32.39, 2.764, 25
-1 2 2, 34.89, 2.571, 22
-2 1 2, 35.07, 2.558, 21


[2]
For Li2FeWO6, the PBE+U geometry in the Materials Project gives the computed X-ray diffraction stick pattern in this record (Cu Kα).
Intensities are scaled so that the largest is 100.

```
Li2FeWO6
1.0
5.0685 0.0000 0.0000
-2.4799 4.4790 0.0000
-0.0036 -2.8833 4.5519
Li Fe W O
2 1 1 6
Direct
0.0000 0.0000 0.0000
0.4992 0.0008 0.5089
0.2199 0.4367 0.6496
0.7184 0.4332 0.1486
0.0835 0.5274 0.3653
0.3404 0.2832 0.8644
0.4537 0.2902 0.3723
0.5854 0.9386 0.8769
0.8264 0.9031 0.3576
0.9484 0.5316 0.8697
```

Top 6 peaks for 2θ = 10–90°, in order of rising 2θ:
index, 2theta, d/Å, intensity
0 0 1, 19.50, 4.552, 20
0 1 -1, 20.99, 4.233, 34
0 1 0, 23.51, 3.784, 53
1 0 -1, 24.14, 3.686, 100
1 0 1, 32.83, 2.728, 21
1 1 -3, 54.35, 1.688, 20


Copy entry 1 word for word.
For Li4V3Fe3W2O16, the PBE+U geometry in the Materials Project gives the computed X-ray diffraction stick pattern in this record (Cu Kα).
Intensities are scaled so that the largest is 100.

```
Li4V3Fe3W2O16
1.0
6.0020 0.0000 0.0000
-2.9901 5.2574 0.0000
-0.0249 -0.0269 9.7888
Li V Fe W O
4 3 3 2 16
Direct
0.0000 0.0000 0.0000
0.0079 0.0009 0.5021
0.3346 0.6626 0.4135
0.6677 0.3271 0.9168
0.1858 0.3479 0.7295
0.3425 0.1661 0.2258
0.8302 0.1690 0.2261
0.1719 0.8364 0.7205
0.6685 0.8348 0.7214
0.8294 0.6538 0.2282
0.3333 0.6661 0.9977
0.6770 0.3414 0.5005
0.0155 0.0305 0.8132
0.0428 0.5046 0.8667
0.1656 0.8171 0.1021
0.1736 0.3393 0.1053
0.3199 0.6374 0.6243
0.3417 0.1900 0.6041
0.4678 0.5012 0.8663
0.4810 0.9515 0.8767
0.5182 0.0370 0.3528
0.5241 0.4774 0.3562
0.6539 0.8152 0.1035
0.6683 0.3332 0.1199
0.8344 0.6715 0.5952
0.8454 0.1912 0.5994
0.9676 0.4815 0.3515
0.9992 0.9945 0.3116
```

Top 6 peaks for 2θ = 10–90°, in order of rising 2θ:
index, 2theta, d/Å, intensity
0 1 1, 19.16, 4.631, 45
1 -1 1, 19.29, 4.601, 100
0 1 -3, 32.29, 2.772, 26
1 0 3, 32.39, 2.764, 25
-1 2 2, 34.89, 2.571, 22
-2 1 2, 35.07, 2.558, 21